SmTiSnHg: calculated X-ray diffraction stick pattern (Cu Kα X-rays), based on a structure optimized by DFT (PBE).
Kinematic intensities with the Lorentz-polarization factor, no thermal factor.

Structural model:
```
data_SmTiSnHg
_chemical_formula_sum 'Sm1 Ti1 Sn1 Hg1'
_space_group_name_H-M_alt 'P 1'
_space_group_IT_number 1
_cell_length_a 5.128
_cell_length_b 5.128
_cell_length_c 5.128
_cell_angle_alpha 60.00
_cell_angle_beta 60.00
_cell_angle_gamma 60.00
loop_
_space_group_symop_operation_xyz
'x,y,z'
loop_
_atom_site_label
_atom_site_type_symbol
_atom_site_fract_x
_atom_site_fract_y
_atom_site_fract_z
Sm1 Sm 0.000 0.000 0.000
Ti1 Ti 0.500 0.500 0.500
Sn1 Sn 0.750 0.750 0.750
Hg1 Hg 0.250 0.250 0.250
```

Most intense lines, 2θ from 15° to 90°, by angle:
two_theta, Rel. int.
21.2, 14.0
24.6, 6.7
35.0, 100.0
41.3, 7.9
50.3, 17.9
55.2, 3.5
56.8, 3.3
62.8, 37.0
73.9, 11.6
84.5, 16.7